Record 1
Computed powder diffraction line list
Compound: Hg6RhF12
Radiation: Cu Ka
Structure: a cell relaxed with PBE
No peak broadening, texture or thermal motion is included.

The 10 most intense peaks (5° ≤ 2θ ≤ 70°), in order of falling intensity:
27.35°, rel. 100.0; 31.44°, rel. 55.9; 26.44°, rel. 34.7; 44.45°, rel. 30.1; 45.62°, rel. 27.6; 53.50°, rel. 26.3; 52.47°, rel. 14.2; 54.01°, rel. 13.2; 56.44°, rel. 10.8; 16.85°, rel. 8.7

Crystal structure
a = 6.948 Å, b = 6.948 Å, c = 6.948 Å
α = 98.45°, β = 98.45°, γ = 98.45°
Sites, in units of the cell vectors:
Hg: 0.110 0.804 0.639
Hg: 0.196 0.361 0.890
Hg: 0.361 0.890 0.196
Hg: 0.639 0.110 0.804
Hg: 0.804 0.639 0.110
Hg: 0.890 0.196 0.361
Rh: 0.500 0.500 0.500
F: 0.072 0.903 0.327
F: 0.097 0.673 0.928
F: 0.214 0.440 0.530
F: 0.327 0.072 0.903
F: 0.440 0.530 0.214
F: 0.470 0.786 0.560
F: 0.530 0.214 0.440
F: 0.560 0.470 0.786
F: 0.673 0.928 0.097
F: 0.786 0.560 0.470
F: 0.903 0.327 0.072
F: 0.928 0.097 0.673

***

Record 2
Computed powder diffraction line list
Compound: HgRhF6
Radiation: Cu Ka
Structure: a cell relaxed with PBE
No peak broadening, texture or thermal motion is included.

The 10 most intense peaks (5° ≤ 2θ ≤ 70°), in order of falling intensity:
22.85°, rel. 100.0; 31.03°, rel. 45.7; 50.56°, rel. 31.5; 34.00°, rel. 23.8; 41.36°, rel. 20.8; 54.58°, rel. 18.1; 59.00°, rel. 15.4; 46.69°, rel. 14.2; 60.85°, rel. 10.8; 38.68°, rel. 10.5

Crystal structure
a = 5.815 Å, b = 5.815 Å, c = 5.815 Å
α = 53.93°, β = 53.93°, γ = 53.93°
Sites, in units of the cell vectors:
Hg: 0.000 0.000 0.000
Rh: 0.500 0.500 0.500
F: 0.115 0.714 0.442
F: 0.286 0.558 0.885
F: 0.442 0.115 0.714
F: 0.558 0.885 0.286
F: 0.714 0.442 0.115
F: 0.885 0.286 0.558

***

Record 3
Computed powder diffraction line list
Compound: Hg4S2F
Radiation: Cu Ka
Structure: a cell relaxed with PBE
No peak broadening, texture or thermal motion is included.

The 10 most intense peaks (5° ≤ 2θ ≤ 70°), in order of falling intensity:
27.41°, rel. 100.0; 22.98°, rel. 42.4; 35.40°, rel. 37.6; 43.20°, rel. 36.2; 42.63°, rel. 34.9; 58.81°, rel. 25.3; 68.95°, rel. 18.5; 56.57°, rel. 17.2; 50.94°, rel. 13.4; 60.16°, rel. 10.7

Crystal structure
a = 5.071 Å, b = 5.071 Å, c = 15.478 Å
α = 90.00°, β = 90.00°, γ = 90.00°
Sites, in units of the cell vectors:
Hg: 0.000 0.000 0.238
Hg: 0.000 0.000 0.762
Hg: 0.000 0.500 0.000
Hg: 0.000 0.500 0.500
Hg: 0.500 0.000 0.000
Hg: 0.500 0.000 0.500
Hg: 0.500 0.500 0.262
Hg: 0.500 0.500 0.738
S: 0.000 0.000 0.421
S: 0.000 0.000 0.579
S: 0.500 0.500 0.079
S: 0.500 0.500 0.921
F: 0.000 0.000 0.000
F: 0.500 0.500 0.500

***

Record 4
Computed powder diffraction line list
Compound: Hg4SF5
Radiation: Cu Ka
Structure: a cell relaxed with PBE
No peak broadening, texture or thermal motion is included.

The 10 most intense peaks (5° ≤ 2θ ≤ 70°), in order of falling intensity:
26.77°, rel. 100.0; 27.22°, rel. 81.6; 44.61°, rel. 57.3; 31.55°, rel. 36.0; 30.71°, rel. 26.1; 50.77°, rel. 25.4; 21.88°, rel. 23.1; 35.73°, rel. 17.6; 53.07°, rel. 15.2; 35.03°, rel. 14.0

Crystal structure
a = 7.928 Å, b = 8.119 Å, c = 5.822 Å
α = 90.00°, β = 90.00°, γ = 90.00°
Sites, in units of the cell vectors:
Hg: 0.055 0.250 0.001
Hg: 0.250 0.539 0.458
Hg: 0.250 0.961 0.458
Hg: 0.445 0.250 0.001
Hg: 0.555 0.750 0.999
Hg: 0.750 0.039 0.542
Hg: 0.750 0.461 0.542
Hg: 0.945 0.750 0.999
S: 0.250 0.750 0.162
S: 0.750 0.250 0.838
F: 0.063 0.505 0.754
F: 0.063 0.995 0.754
F: 0.250 0.250 0.334
F: 0.437 0.505 0.754
F: 0.437 0.995 0.754
F: 0.563 0.005 0.246
F: 0.563 0.495 0.246
F: 0.750 0.750 0.666
F: 0.937 0.005 0.246
F: 0.937 0.495 0.246

***

Record 5
Computed powder diffraction line list
Compound: HgSF4
Radiation: Cu Ka
Structure: a cell relaxed with PBE
No peak broadening, texture or thermal motion is included.

The 10 most intense peaks (5° ≤ 2θ ≤ 70°), in order of falling intensity:
30.58°, rel. 100.0; 16.29°, rel. 82.9; 15.48°, rel. 82.7; 28.99°, rel. 75.5; 29.30°, rel. 73.4; 20.76°, rel. 71.8; 27.91°, rel. 70.4; 27.70°, rel. 67.8; 31.89°, rel. 56.9; 13.50°, rel. 53.0

Crystal structure
a = 6.173 Å, b = 6.440 Å, c = 7.078 Å
α = 90.00°, β = 112.02°, γ = 90.00°
Sites, in units of the cell vectors:
Hg: 0.067 0.250 0.113
Hg: 0.933 0.750 0.887
S: 0.348 0.250 0.619
S: 0.652 0.750 0.381
F: 0.093 0.250 0.622
F: 0.343 0.513 0.631
F: 0.343 0.987 0.631
F: 0.494 0.250 0.859
F: 0.506 0.750 0.141
F: 0.657 0.013 0.369
F: 0.657 0.487 0.369
F: 0.907 0.750 0.378

***

Record 6
Computed powder diffraction line list
Compound: HgSbF6
Radiation: Cu Ka
Structure: a cell relaxed with PBE
No peak broadening, texture or thermal motion is included.

The 10 most intense peaks (5° ≤ 2θ ≤ 70°), in order of falling intensity:
23.24°, rel. 100.0; 27.19°, rel. 68.2; 43.19°, rel. 59.5; 23.08°, rel. 51.2; 27.41°, rel. 33.2; 43.65°, rel. 29.1; 36.13°, rel. 23.5; 47.52°, rel. 17.5; 40.65°, rel. 16.7; 55.47°, rel. 15.6

Crystal structure
a = 6.642 Å, b = 7.706 Å, c = 5.092 Å
α = 90.00°, β = 101.56°, γ = 90.00°
Sites, in units of the cell vectors:
Hg: 0.000 0.000 0.000
Hg: 0.500 0.500 0.000
Sb: 0.000 0.500 0.500
Sb: 0.500 0.000 0.500
F: 0.094 0.325 0.768
F: 0.094 0.675 0.768
F: 0.230 0.000 0.585
F: 0.270 0.500 0.415
F: 0.406 0.175 0.232
F: 0.406 0.825 0.232
F: 0.594 0.175 0.768
F: 0.594 0.825 0.768
F: 0.730 0.500 0.585
F: 0.770 0.000 0.415
F: 0.906 0.325 0.232
F: 0.906 0.675 0.232

***

Please write out number 1 again, unchanged.
Computed powder diffraction line list
Compound: Hg6RhF12
Radiation: Cu Ka
Structure: a cell relaxed with PBE
No peak broadening, texture or thermal motion is included.

The 10 most intense peaks (5° ≤ 2θ ≤ 70°), in order of falling intensity:
27.35°, rel. 100.0; 31.44°, rel. 55.9; 26.44°, rel. 34.7; 44.45°, rel. 30.1; 45.62°, rel. 27.6; 53.50°, rel. 26.3; 52.47°, rel. 14.2; 54.01°, rel. 13.2; 56.44°, rel. 10.8; 16.85°, rel. 8.7

Crystal structure
a = 6.948 Å, b = 6.948 Å, c = 6.948 Å
α = 98.45°, β = 98.45°, γ = 98.45°
Sites, in units of the cell vectors:
Hg: 0.110 0.804 0.639
Hg: 0.196 0.361 0.890
Hg: 0.361 0.890 0.196
Hg: 0.639 0.110 0.804
Hg: 0.804 0.639 0.110
Hg: 0.890 0.196 0.361
Rh: 0.500 0.500 0.500
F: 0.072 0.903 0.327
F: 0.097 0.673 0.928
F: 0.214 0.440 0.530
F: 0.327 0.072 0.903
F: 0.440 0.530 0.214
F: 0.470 0.786 0.560
F: 0.530 0.214 0.440
F: 0.560 0.470 0.786
F: 0.673 0.928 0.097
F: 0.786 0.560 0.470
F: 0.903 0.327 0.072
F: 0.928 0.097 0.673

***

Question: Number 6 is which compound?
Answer: HgSbF6